# 1
Simulated powder X-ray diffraction pattern
Compound: Na4MnV3Se8
Radiation: Cu Kα X-rays
Structure: a crystal structure in Alexandria, relaxed with GGA-PBE
Peak positions follow from Bragg's law for the DFT cell and can differ from measured ones.

Most intense lines, 2θ from 15° to 90°, low angle first:
two_theta	I (rel.)
28.54	175
32.35	1000
41.23	163
44.77	282
48.00	352
56.65	107
59.07	166
79.45	136

Structural model:
abc: 8.1348 8.1348 8.1348
angles: 55.55 55.55 55.55
Element x y z (fractional)
Na (0.0000, 0.0000, 0.0000)
Na (0.0000, 0.5000, 0.5000)
Na (0.5000, 0.0000, 0.5000)
Na (0.5000, 0.5000, 0.0000)
Mn (0.5000, 0.5000, 0.5000)
V (0.0000, 0.0000, 0.5000)
V (0.0000, 0.5000, 0.0000)
V (0.5000, 0.0000, 0.0000)
Se (0.2333, 0.7349, 0.7349)
Se (0.2350, 0.2350, 0.2350)
Se (0.2651, 0.2651, 0.7667)
Se (0.2651, 0.7667, 0.2651)
Se (0.7349, 0.2333, 0.7349)
Se (0.7349, 0.7349, 0.2333)
Se (0.7650, 0.7650, 0.7650)
Se (0.7667, 0.2651, 0.2651)

***

# 2
Simulated powder X-ray diffraction pattern
Compound: Na3MnV2Se6
Radiation: Cu Kα X-rays
Structure: a crystal structure in Alexandria, relaxed with GGA-PBE
Peak positions follow from Bragg's law for the DFT cell and can differ from measured ones.

Most intense lines, 2θ from 15° to 90°, low angle first:
two_theta	I (rel.)
28.83	184
31.97	551
32.55	1000
41.35	170
44.96	289
47.55	375
49.02	166
59.72	165

Structural model:
abc: 6.5017 6.5017 7.2122
angles: 99.03 99.03 118.08
Element x y z (fractional)
Na (0.0000, 0.0000, 0.0000)
Na (0.3273, 0.6727, 0.0000)
Na (0.6727, 0.3273, 0.0000)
Mn (0.5000, 0.5000, 0.5000)
V (0.1521, 0.8479, 0.5000)
V (0.8479, 0.1521, 0.5000)
Se (0.1047, 0.4385, 0.3046)
Se (0.2363, 0.2363, 0.7201)
Se (0.4385, 0.1047, 0.3046)
Se (0.5615, 0.8953, 0.6954)
Se (0.7637, 0.7637, 0.2799)
Se (0.8953, 0.5615, 0.6954)

***

# 3
Simulated powder X-ray diffraction pattern
Compound: Na3Zr3MnSe8
Radiation: Cu Kα X-rays
Structure: a crystal structure in Alexandria, relaxed with GGA-PBE
Peak positions follow from Bragg's law for the DFT cell and can differ from measured ones.

Most intense lines, 2θ from 15° to 90°, low angle first:
two_theta	I (rel.)
31.54	1000
39.92	145
43.26	360
47.09	331
57.78	169
65.85	99
72.02	122
77.64	139

Structural model:
abc: 8.4238 8.4238 8.4238
angles: 54.54 54.54 54.54
Element x y z (fractional)
Na (0.0000, 0.5000, 0.5000)
Na (0.5000, 0.0000, 0.5000)
Na (0.5000, 0.5000, 0.0000)
Zr (0.0000, 0.0000, 0.5000)
Zr (0.0000, 0.5000, 0.0000)
Zr (0.5000, 0.0000, 0.0000)
Mn (0.5000, 0.5000, 0.5000)
Se (0.2384, 0.7392, 0.7392)
Se (0.2418, 0.2418, 0.2418)
Se (0.2608, 0.2608, 0.7616)
Se (0.2608, 0.7616, 0.2608)
Se (0.7392, 0.2384, 0.7392)
Se (0.7392, 0.7392, 0.2384)
Se (0.7582, 0.7582, 0.7582)
Se (0.7616, 0.2608, 0.2608)

***

# 4
Simulated powder X-ray diffraction pattern
Compound: NaMnTe
Radiation: Cu Kα X-rays
Structure: a crystal structure in Alexandria, relaxed with GGA-PBE
Peak positions follow from Bragg's law for the DFT cell and can differ from measured ones.

Most intense lines, 2θ from 15° to 90°, low angle first:
two_theta	I (rel.)
21.11	1000
22.51	884
23.59	488
25.00	732
35.82	579
36.21	721
39.28	805
41.01	526

Structural model:
abc: 7.1469 7.1469 7.7561
angles: 113.65 113.65 89.11
Element x y z (fractional)
Na (0.0597, 0.9403, 0.5000)
Na (0.5041, 0.7432, 0.8318)
Na (0.7432, 0.5041, 0.3318)
Na (0.9403, 0.0597, 0.0000)
Mn (0.1838, 0.4438, 0.8834)
Mn (0.3026, 0.5250, 0.2912)
Mn (0.4438, 0.1838, 0.3834)
Mn (0.5250, 0.3026, 0.7912)
Te (0.1548, 0.3687, 0.5061)
Te (0.3687, 0.1548, 0.0061)
Te (0.5877, 0.9036, 0.5352)
Te (0.9036, 0.5877, 0.0352)